Calculated powder diffraction line list of KSiHSe3 for Cu Kα, from a structure optimized by DFT (GGA-PBE).
No peak broadening, texture or thermal motion is included.

Crystal structure
```
data_KSiHSe3
_cell_length_a 7.809
_cell_length_b 7.809
_cell_length_c 6.852
_cell_angle_alpha 109.47
_cell_angle_beta 109.47
_cell_angle_gamma 57.64
_space_group_name_H-M_alt 'P 1'
_space_group_IT_number 1
loop_
_space_group_symop_operation_xyz
'x,y,z'
loop_
_atom_site_label
_atom_site_type_symbol
_atom_site_fract_x
_atom_site_fract_y
_atom_site_fract_z
K1 K 0.167 0.167 0.222
K2 K 0.833 0.833 0.778
Si1 Si 0.439 0.439 0.145
Si2 Si 0.561 0.561 0.855
H1 H 0.249 0.751 0.500
H2 H 0.751 0.249 0.500
Se1 Se 0.133 0.645 0.254
Se2 Se 0.355 0.867 0.746
Se3 Se 0.379 0.379 0.777
Se4 Se 0.621 0.621 0.223
Se5 Se 0.645 0.133 0.254
Se6 Se 0.867 0.355 0.746
```

Most intense lines, 15° ≤ 2θ ≤ 90°, low angle first:
d [Å]	two_theta	Rel. int.
3.167	28.18	100
3.139	28.43	100
2.844	31.45	24
2.678	33.46	53
1.950	46.58	47
1.618	56.91	26

=====

Calculated powder diffraction line list of KZrHSe2 for Cu Kα, from a structure optimized by DFT (GGA-PBE).
No peak broadening, texture or thermal motion is included.

Crystal structure
```
data_KZrHSe2
_cell_length_a 7.412
_cell_length_b 3.898
_cell_length_c 9.085
_cell_angle_alpha 90.00
_cell_angle_beta 108.22
_cell_angle_gamma 90.00
_space_group_name_H-M_alt 'P 1'
_space_group_IT_number 1
loop_
_space_group_symop_operation_xyz
'x,y,z'
loop_
_atom_site_label
_atom_site_type_symbol
_atom_site_fract_x
_atom_site_fract_y
_atom_site_fract_z
K1 K 0.165 0.250 0.293
K2 K 0.835 0.750 0.707
Zr1 Zr 0.342 0.250 0.820
Zr2 Zr 0.658 0.750 0.180
H1 H 0.070 0.250 0.768
H2 H 0.930 0.750 0.232
Se1 Se 0.281 0.750 0.016
Se2 Se 0.330 0.750 0.620
Se3 Se 0.670 0.250 0.380
Se4 Se 0.719 0.250 0.984
```

Most intense lines, 15° ≤ 2θ ≤ 90°, low angle first:
d [Å]	two_theta	Rel. int.
3.520	25.30	28
2.953	30.27	25
2.895	30.88	100
2.205	40.92	18
2.051	44.16	20
1.949	46.60	16

=====

Calculated powder diffraction line list of K2SnH3 for Cu Kα, from a structure optimized by DFT (GGA-PBE).
No peak broadening, texture or thermal motion is included.

Crystal structure
```
data_K2SnH3
_cell_length_a 7.770
_cell_length_b 7.770
_cell_length_c 7.014
_cell_angle_alpha 116.72
_cell_angle_beta 116.72
_cell_angle_gamma 37.47
_space_group_name_H-M_alt 'P 1'
_space_group_IT_number 1
loop_
_space_group_symop_operation_xyz
'x,y,z'
loop_
_atom_site_label
_atom_site_type_symbol
_atom_site_fract_x
_atom_site_fract_y
_atom_site_fract_z
K1 K 0.153 0.158 0.154
K2 K 0.158 0.153 0.654
K3 K 0.842 0.847 0.346
K4 K 0.847 0.842 0.846
Sn1 Sn 0.474 0.526 0.250
Sn2 Sn 0.526 0.474 0.750
H1 H 0.161 0.839 0.750
H2 H 0.307 0.352 0.577
H3 H 0.352 0.307 0.077
H4 H 0.648 0.693 0.923
H5 H 0.693 0.648 0.423
H6 H 0.839 0.161 0.250
```

Most intense lines, 15° ≤ 2θ ≤ 90°, low angle first:
d [Å]	two_theta	Rel. int.
4.657	19.06	32
3.265	27.31	100
3.084	28.95	51
2.802	31.94	95
2.496	35.99	25
2.379	37.81	35

=====

Calculated powder diffraction line list of KSr4H8 for Cu Kα, from a structure optimized by DFT (GGA-PBE).
No peak broadening, texture or thermal motion is included.

Crystal structure
```
data_KSr4H8
_cell_length_a 6.049
_cell_length_b 6.049
_cell_length_c 6.049
_cell_angle_alpha 90.00
_cell_angle_beta 90.00
_cell_angle_gamma 90.00
_space_group_name_H-M_alt 'P 1'
_space_group_IT_number 1
loop_
_space_group_symop_operation_xyz
'x,y,z'
loop_
_atom_site_label
_atom_site_type_symbol
_atom_site_fract_x
_atom_site_fract_y
_atom_site_fract_z
K1 K 0.000 0.000 0.000
Sr1 Sr 0.000 0.000 0.500
Sr2 Sr 0.000 0.500 0.000
Sr3 Sr 0.500 0.000 0.000
Sr4 Sr 0.500 0.500 0.500
H1 H 0.244 0.244 0.244
H2 H 0.244 0.244 0.756
H3 H 0.244 0.756 0.244
H4 H 0.244 0.756 0.756
H5 H 0.756 0.244 0.244
H6 H 0.756 0.244 0.756
H7 H 0.756 0.756 0.244
H8 H 0.756 0.756 0.756
```

Most intense lines, 15° ≤ 2θ ≤ 90°, low angle first:
d [Å]	two_theta	Rel. int.
3.492	25.51	100
3.024	29.54	78
2.139	42.26	64
1.824	50.01	48
1.353	69.50	27
1.235	77.27	21

=====

Calculated powder diffraction line list of KTaH for Cu Kα, from a structure optimized by DFT (GGA-PBE).
No peak broadening, texture or thermal motion is included.

Crystal structure
```
data_KTaH
_cell_length_a 2.910
_cell_length_b 3.679
_cell_length_c 11.655
_cell_angle_alpha 90.17
_cell_angle_beta 93.98
_cell_angle_gamma 90.00
_space_group_name_H-M_alt 'P 1'
_space_group_IT_number 1
loop_
_space_group_symop_operation_xyz
'x,y,z'
loop_
_atom_site_label
_atom_site_type_symbol
_atom_site_fract_x
_atom_site_fract_y
_atom_site_fract_z
K1 K 0.161 0.247 0.175
K2 K 0.839 0.753 0.825
Ta1 Ta 0.230 0.749 0.430
Ta2 Ta 0.770 0.251 0.570
H1 H 0.305 0.252 0.697
H2 H 0.695 0.748 0.303
```

Most intense lines, 15° ≤ 2θ ≤ 90°, low angle first:
d [Å]	two_theta	Rel. int.
5.813	15.24	57
3.109	28.72	100
2.672	33.53	48
2.281	39.51	43
2.260	39.89	39
2.214	40.76	45

=====

Calculated powder diffraction line list of KTbH for Cu Kα, from a structure optimized by DFT (GGA-PBE).
No peak broadening, texture or thermal motion is included.

Crystal structure
```
data_KTbH
_cell_length_a 13.920
_cell_length_b 3.581
_cell_length_c 6.207
_cell_angle_alpha 90.00
_cell_angle_beta 90.00
_cell_angle_gamma 90.00
_space_group_name_H-M_alt 'P 1'
_space_group_IT_number 1
loop_
_space_group_symop_operation_xyz
'x,y,z'
loop_
_atom_site_label
_atom_site_type_symbol
_atom_site_fract_x
_atom_site_fract_y
_atom_site_fract_z
K1 K 0.126 0.000 0.000
K2 K 0.126 0.500 0.500
K3 K 0.874 0.000 0.000
K4 K 0.874 0.500 0.500
Tb1 Tb 0.388 0.000 0.671
Tb2 Tb 0.388 0.500 0.171
Tb3 Tb 0.612 0.000 0.671
Tb4 Tb 0.612 0.500 0.171
H1 H 0.000 0.000 0.667
H2 H 0.000 0.500 0.167
H3 H 0.500 0.000 0.005
H4 H 0.500 0.500 0.505
```

Most intense lines, 15° ≤ 2θ ≤ 90°, low angle first:
d [Å]	two_theta	Rel. int.
3.480	25.60	47
3.102	28.78	58
3.028	29.50	100
2.579	34.79	36
2.316	38.89	48
2.072	43.69	49